# 1
Structure and computed powder XRD pattern of Sm2Pd17 (a structure optimized by DFT (GGA-PBE); λ = 1.5418 Å (Cu Kα)).
Kinematic intensities with the Lorentz-polarization factor, no thermal factor.

Largest 10 diffraction maxima, in order of falling intensity, 2θ = 10–80°:
| Position (°2θ) | I_rel |
| --- | --- |
| 39.45 | 100.0 |
| 44.31 | 57.3 |
| 39.32 | 55.5 |
| 33.88 | 35.9 |
| 39.86 | 35.4 |
| 71.28 | 23.9 |
| 72.10 | 22.9 |
| 40.26 | 19.8 |
| 64.37 | 18.7 |
| 34.79 | 18.3 |

Lattice parameters (Å, degrees): 6.9617 6.9617 6.9617 82.35 82.35 82.35
Fractional positions:
Sm1 0.1695 0.1695 0.1695
Sm2 0.8305 0.8305 0.8305
Pd1 0.0000 0.5000 0.5000
Pd2 0.1518 0.1518 0.6598
Pd3 0.1518 0.6598 0.1518
Pd4 0.1946 0.5000 0.8054
Pd5 0.1946 0.8054 0.5000
Pd6 0.3402 0.8482 0.8482
Pd7 0.3990 0.3990 0.3990
Pd8 0.5000 0.0000 0.5000
Pd9 0.5000 0.1946 0.8054
Pd10 0.5000 0.5000 0.0000
Pd11 0.5000 0.8054 0.1946
Pd12 0.6010 0.6010 0.6010
Pd13 0.6598 0.1518 0.1518
Pd14 0.8054 0.1946 0.5000
Pd15 0.8054 0.5000 0.1946
Pd16 0.8482 0.3402 0.8482
Pd17 0.8482 0.8482 0.3402

=====

# 2
Structure and computed powder XRD pattern of La3Mn2Ge9 (a structure optimized by DFT (GGA-PBE); λ = 1.5418 Å (Cu Kα)).
Kinematic intensities with the Lorentz-polarization factor, no thermal factor.

Largest 10 diffraction maxima, in order of falling intensity, 2θ = 10–80°:
| Position (°2θ) | I_rel |
| --- | --- |
| 34.35 | 100.0 |
| 39.32 | 97.7 |
| 32.42 | 38.4 |
| 55.53 | 31.6 |
| 58.08 | 29.9 |
| 26.94 | 22.2 |
| 68.10 | 21.2 |
| 28.09 | 20.5 |
| 65.80 | 13.3 |
| 72.39 | 12.3 |

Lattice parameters (Å, degrees): 6.3531 6.3531 8.2844 90.00 90.00 120.00
Fractional positions:
La1 0.0000 0.0000 0.0000
La2 0.3333 0.6667 0.3355
La3 0.6667 0.3333 0.6645
Mn1 0.3333 0.6667 0.7950
Mn2 0.6667 0.3333 0.2050
Ge1 0.0000 0.5000 0.0000
Ge2 0.1424 0.2847 0.6380
Ge3 0.1424 0.8576 0.6380
Ge4 0.2847 0.1424 0.3620
Ge5 0.5000 0.0000 0.0000
Ge6 0.5000 0.5000 0.0000
Ge7 0.7153 0.8576 0.6380
Ge8 0.8576 0.1424 0.3620
Ge9 0.8576 0.7153 0.3620

=====

# 3
Structure and computed powder XRD pattern of TbMgScTi (a structure optimized by DFT (GGA-PBE); λ = 1.5418 Å (Cu Kα)).
Kinematic intensities with the Lorentz-polarization factor, no thermal factor.

Largest 10 diffraction maxima, in order of falling intensity, 2θ = 10–80°:
| Position (°2θ) | I_rel |
| --- | --- |
| 35.00 | 100.0 |
| 21.23 | 39.7 |
| 62.79 | 34.6 |
| 24.56 | 27.0 |
| 41.30 | 22.3 |
| 50.34 | 17.2 |
| 56.79 | 11.1 |
| 73.95 | 10.5 |
| 55.22 | 9.9 |
| 43.23 | 8.2 |

Lattice parameters (Å, degrees): 7.2504 7.2504 7.2504 90.00 90.00 90.00
Fractional positions:
Tb1 0.0000 0.0000 0.0000
Tb2 0.0000 0.5000 0.5000
Tb3 0.5000 0.0000 0.5000
Tb4 0.5000 0.5000 0.0000
Mg1 0.2500 0.2500 0.7500
Mg2 0.2500 0.7500 0.2500
Mg3 0.7500 0.2500 0.2500
Mg4 0.7500 0.7500 0.7500
Sc1 0.0000 0.0000 0.5000
Sc2 0.0000 0.5000 0.0000
Sc3 0.5000 0.0000 0.0000
Sc4 0.5000 0.5000 0.5000
Ti1 0.2500 0.2500 0.2500
Ti2 0.2500 0.7500 0.7500
Ti3 0.7500 0.2500 0.7500
Ti4 0.7500 0.7500 0.2500

=====

# 4
Structure and computed powder XRD pattern of LaDy4As5 (a structure optimized by DFT (GGA-PBE); λ = 1.5418 Å (Cu Kα)).
Kinematic intensities with the Lorentz-polarization factor, no thermal factor.

Largest 10 diffraction maxima, in order of falling intensity, 2θ = 10–80°:
| Position (°2θ) | I_rel |
| --- | --- |
| 30.30 | 100.0 |
| 43.38 | 74.5 |
| 26.16 | 21.5 |
| 53.80 | 19.8 |
| 79.57 | 18.6 |
| 71.48 | 16.7 |
| 71.54 | 16.5 |
| 63.02 | 12.1 |
| 51.36 | 10.7 |
| 53.88 | 6.5 |

Lattice parameters (Å, degrees): 7.2204 7.2204 10.2239 118.12 118.12 33.60
Fractional positions:
La1 0.0000 0.0000 0.0000
Dy1 0.2008 0.2008 0.7957
Dy2 0.4019 0.4019 0.6000
Dy3 0.5981 0.5981 0.4000
Dy4 0.7992 0.7992 0.2043
As1 0.0000 0.0000 0.5000
As2 0.2028 0.2028 0.3076
As3 0.3948 0.3948 0.1041
As4 0.6052 0.6052 0.8959
As5 0.7972 0.7972 0.6924

=====

# 5
Structure and computed powder XRD pattern of Na2Tl5In3 (a structure optimized by DFT (GGA-PBE); λ = 1.5418 Å (Cu Kα)).
Kinematic intensities with the Lorentz-polarization factor, no thermal factor.

Largest 10 diffraction maxima, in order of falling intensity, 2θ = 10–80°:
| Position (°2θ) | I_rel |
| --- | --- |
| 28.99 | 100.0 |
| 37.19 | 89.7 |
| 19.29 | 63.8 |
| 36.73 | 59.5 |
| 13.10 | 49.1 |
| 66.45 | 29.8 |
| 38.03 | 24.2 |
| 55.44 | 23.5 |
| 61.47 | 22.1 |
| 52.92 | 19.8 |

Lattice parameters (Å, degrees): 10.2749 10.2749 10.2749 97.74 95.28 140.66
Fractional positions:
Na1 0.1322 0.2330 0.3652
Na2 0.3678 0.7330 0.1008
Na3 0.6322 0.2670 0.8992
Na4 0.8678 0.7670 0.6348
Tl1 0.0087 0.7500 0.2587
Tl2 0.1099 0.6510 0.7608
Tl3 0.2500 0.2500 0.0000
Tl4 0.3901 0.1510 0.5411
Tl5 0.4913 0.7500 0.7413
Tl6 0.5087 0.2500 0.2587
Tl7 0.6099 0.8490 0.4589
Tl8 0.7500 0.7500 0.0000
Tl9 0.8901 0.3490 0.2392
Tl10 0.9913 0.2500 0.7413
In1 0.1299 0.8649 0.9948
In2 0.2500 0.7500 0.5000
In3 0.3701 0.3649 0.7349
In4 0.6299 0.6351 0.2651
In5 0.7500 0.2500 0.5000
In6 0.8701 0.1351 0.0052